For Zn7NiPt3, the PBE geometry in Alexandria gives the theoretical XRD peak list in this record (a wavelength of 1.5418 Å).

Principal peaks in the range 2θ from 10° to 80°, sorted by position:
two_theta	d_spacing	I_rel	h k l
10.58	8.361	83	0 2 1
15.22	5.820	100	0 4 1
18.18	4.880	29	0 2 2
25.60	3.480	40	0 6 2
37.84	2.378	30	1 3 2
39.35	2.290	23	1 7 0
41.36	2.183	57	0 10 3
41.68	2.167	67	1 1 3
43.28	2.090	40	0 8 4
43.52	2.079	63	1 9 0
45.45	1.996	29	0 4 5
47.92	1.898	26	1 1 4

Crystal structure
```
data_Zn7NiPt3
_space_group_name_H-M_alt 'C m c m'
_space_group_IT_number 63
_space_group_name_Hall '-C 2c 2'
_cell_length_a 2.789
_cell_length_b 28.083
_cell_length_c 10.408
_cell_angle_alpha 90.00
_cell_angle_beta 90.00
_cell_angle_gamma 90.00
loop_
_atom_site_label
_atom_site_type_symbol
_atom_site_fract_x
_atom_site_fract_y
_atom_site_fract_z
_atom_site_occupancy
Zn1 Zn 0.000 0.012 0.125 1
Zn2 Zn 0.000 0.081 0.750 1
Zn3 Zn 0.000 0.123 0.094 1
Zn4 Zn 0.000 0.227 0.086 1
Ni1 Ni 0.000 0.429 0.750 1
Pt1 Pt 0.000 0.322 0.750 1
Pt2 Pt 0.000 0.435 0.045 1
```